1.
TbCo2B2C: theoretical X-ray diffraction stick pattern (Cu Kα (weighted mean of Kα1 and Kα2)), based on a DFT-relaxed cell (PBE, the Materials Project).
Peak positions follow from Bragg's law for the DFT cell and can differ from measured ones.

Structure:
Lattice parameters (Å, degrees): 5.720 5.720 5.720 143.85 143.85 52.05
Element x y z (fractional)
Tb 0.000 0.000 0.000
Co 0.250 0.750 0.500
Co 0.750 0.250 0.500
B 0.354 0.354 0.000
B 0.646 0.646 0.000
C 0.500 0.500 0.000

Peak list (8 most intense, 10° ≤ 2θ ≤ 80°, sorted by position)
- 2θ 26.57, I = 65
- 2θ 34.91, I = 34
- 2θ 36.45, I = 41
- 2θ 39.98, I = 100
- 2θ 51.50, I = 26
- 2θ 58.88, I = 16
- 2θ 63.73, I = 23
- 2θ 66.03, I = 23



2.
TmCo2B2C: theoretical X-ray diffraction stick pattern (Cu Kα (weighted mean of Kα1 and Kα2)), based on a DFT-relaxed cell (PBE, the Materials Project).
Peak positions follow from Bragg's law for the DFT cell and can differ from measured ones.

Structure:
Lattice parameters (Å, degrees): 5.754 5.754 5.754 144.76 144.76 50.69
Element x y z (fractional)
Tm 0.000 0.000 0.000
Co 0.250 0.750 0.500
Co 0.750 0.250 0.500
B 0.356 0.356 0.000
B 0.644 0.644 0.000
C 0.500 0.500 0.000

Peak list (8 most intense, 10° ≤ 2θ ≤ 80°, sorted by position)
- 2θ 26.99, I = 69
- 2θ 34.49, I = 37
- 2θ 36.56, I = 48
- 2θ 40.52, I = 100
- 2θ 52.54, I = 26
- 2θ 60.05, I = 17
- 2θ 64.38, I = 23
- 2θ 65.89, I = 24



3.
Cr46B3C9: theoretical X-ray diffraction stick pattern (Cu Kα (weighted mean of Kα1 and Kα2)), based on a DFT-relaxed cell (PBE, the Materials Project).
Peak positions follow from Bragg's law for the DFT cell and can differ from measured ones.

Structure:
Lattice parameters (Å, degrees): 7.484 7.490 12.950 73.50 73.41 60.14
Element x y z (fractional)
Cr 0.000 0.000 0.000
Cr 0.002 0.314 0.002
Cr 0.052 0.230 0.809
Cr 0.071 0.211 0.310
Cr 0.075 0.734 0.310
Cr 0.126 0.787 0.626
Cr 0.154 0.164 0.503
Cr 0.160 0.502 0.500
Cr 0.169 0.493 0.169
Cr 0.170 0.830 0.830
Cr 0.177 0.491 0.828
Cr 0.190 0.850 0.430
Cr 0.309 0.972 0.071
Cr 0.328 0.338 0.328
Cr 0.330 0.991 0.670
Cr 0.332 0.330 0.669
Cr 0.336 0.661 0.000
Cr 0.339 0.322 0.000
Cr 0.377 0.038 0.874
Cr 0.428 0.612 0.191
Cr 0.430 0.094 0.190
Cr 0.454 0.589 0.691
Cr 0.495 0.156 0.495
Cr 0.500 0.499 0.501
Cr 0.503 0.815 0.503
Cr 0.552 0.728 0.312
Cr 0.569 0.712 0.809
Cr 0.573 0.235 0.809
Cr 0.628 0.287 0.125
Cr 0.650 0.662 0.000
Cr 0.657 0.008 0.998
Cr 0.669 0.993 0.669
Cr 0.670 0.331 0.330
Cr 0.677 0.990 0.328
Cr 0.690 0.351 0.929
Cr 0.810 0.471 0.573
Cr 0.828 0.839 0.827
Cr 0.832 0.485 0.172
Cr 0.834 0.833 0.171
Cr 0.838 0.161 0.500
Cr 0.841 0.821 0.500
Cr 0.877 0.537 0.376
Cr 0.928 0.116 0.690
Cr 0.931 0.591 0.689
Cr 0.957 0.088 0.191
Cr 0.982 0.660 0.000
B 0.365 0.025 0.365
B 0.591 0.799 0.137
B 0.866 0.525 0.863
C 0.085 0.301 0.640
C 0.141 0.800 0.138
C 0.142 0.245 0.139
C 0.364 0.578 0.362
C 0.418 0.523 0.862
C 0.639 0.300 0.638
C 0.640 0.746 0.639
C 0.864 0.079 0.861
C 0.918 0.023 0.362

Peak list (8 most intense, 10° ≤ 2θ ≤ 80°, sorted by position)
- 2θ 37.93, I = 17
- 2θ 41.74, I = 25
- 2θ 44.33, I = 19
- 2θ 44.43, I = 100
- 2θ 44.57, I = 18
- 2θ 48.56, I = 16
- 2θ 48.67, I = 15
- 2θ 50.96, I = 17



4.
CsBC2F8: theoretical X-ray diffraction stick pattern (Cu Kα (weighted mean of Kα1 and Kα2)), based on a DFT-relaxed cell (PBE, the Materials Project).
Peak positions follow from Bragg's law for the DFT cell and can differ from measured ones.

Structure:
Lattice parameters (Å, degrees): 6.082 7.714 8.369 90.00 100.81 90.00
Element x y z (fractional)
Cs 0.019 0.250 0.221
Cs 0.981 0.750 0.779
B 0.316 0.750 0.205
B 0.684 0.250 0.795
C 0.306 0.750 0.404
C 0.428 0.250 0.832
C 0.572 0.750 0.168
C 0.694 0.250 0.596
F 0.195 0.608 0.451
F 0.195 0.892 0.451
F 0.204 0.600 0.132
F 0.204 0.900 0.132
F 0.302 0.107 0.772
F 0.302 0.393 0.772
F 0.429 0.250 0.998
F 0.488 0.250 0.492
F 0.512 0.750 0.508
F 0.571 0.750 0.002
F 0.698 0.607 0.228
F 0.698 0.893 0.228
F 0.796 0.100 0.868
F 0.796 0.400 0.868
F 0.805 0.108 0.549
F 0.805 0.392 0.549

Peak list (8 most intense, 10° ≤ 2θ ≤ 80°, sorted by position)
- 2θ 14.83, I = 20
- 2θ 20.25, I = 37
- 2θ 23.06, I = 100
- 2θ 32.07, I = 32
- 2θ 33.43, I = 23
- 2θ 35.80, I = 18
- 2θ 36.62, I = 21
- 2θ 38.10, I = 20



Which formula does entry 3 have? Cr46B3C9